# SmV2IO9
Calculated X-ray diffraction stick pattern, Cu Kα X-rays. Input: a PBE+U-relaxed structure.
Intensities are scaled so that the largest is 100.

Cell and atoms:
a = 7.0459 Å, b = 14.5577 Å, c = 7.2902 Å
α = 90.00°, β = 90.00°, γ = 90.00°
Space group Pbcm (No. 57)
Asymmetric unit:
1 Sm 0.1489 0.0463 0.2500 [4 per cell]
2 V 0.1805 0.7293 0.7500 [4 per cell]
3 V 0.4591 0.2500 0.0000 [4 per cell]
4 I 0.2971 0.0544 0.7500 [4 per cell]
5 O 0.0104 0.6906 0.2500 [4 per cell]
6 O 0.0799 0.6244 0.7500 [4 per cell]
7 O 0.1714 0.5116 0.0696 [8 per cell]
8 O 0.2624 0.7500 0.0000 [4 per cell]
9 O 0.3237 0.1566 0.0444 [8 per cell]
10 O 0.4721 0.0006 0.2500 [4 per cell]
11 O 0.4722 0.7205 0.7500 [4 per cell]

Principal peaks in the range 10° ≤ 2θ ≤ 90°, sorted by position:
| two_theta | intensity |
| --- | --- |
| 12.2 | 40 |
| 17.5 | 22 |
| 22.2 | 100 |
| 24.4 | 87 |
| 27.4 | 51 |
| 28.8 | 68 |
| 33.3 | 82 |
| 41.7 | 38 |
| 45.8 | 30 |
| 47.7 | 36 |